Diffraction record for SrDyFe4O12. The powder diffraction line list is theoretical, not measured: it uses a DFT-relaxed cell (GGA+U, Alexandria) and Cu Kα (weighted mean of Kα1 and Kα2).
Peak positions follow from Bragg's law for the DFT cell and can differ from measured ones.

Largest 8 diffraction maxima, by angle, 2θ = 5–70°:
index, 2theta, d [Å], I/Imax
1 1 1, 20.19, 4.398, 82
2 2 0, 33.27, 2.693, 100
3 1 1, 39.22, 2.297, 45
4 0 0, 47.76, 1.904, 44
1 3 3, 52.35, 1.748, 20
2 2 4, 59.44, 1.555, 38
3 3 3, 63.45, 1.466, 15
4 4 0, 69.85, 1.347, 24

Cell and atoms:
```
data_SrDyFe4O12
_chemical_formula_sum 'Sr2 Dy2 Fe8 O24'
_cell_length_a 7.618
_cell_length_b 7.618
_cell_length_c 7.617
_cell_angle_alpha 90.00
_cell_angle_beta 90.00
_cell_angle_gamma 90.00
_space_group_name_H-M_alt 'C m m m'
_space_group_IT_number 65
_space_group_name_Hall '-C 2 2'
loop_
_atom_site_label
_atom_site_type_symbol
_atom_site_fract_x
_atom_site_fract_y
_atom_site_fract_z
Sr1 Sr 0.000 0.000 0.000
Dy1 Dy 0.000 0.500 0.500
Fe1 Fe 0.250 0.250 0.250
O1 O 0.000 0.259 0.265
O2 O 0.242 0.500 0.265
O3 O 0.250 0.250 0.000
O4 O 0.250 0.250 0.500
```